For TlPd5Pb2, DFT lattice parameters and positions (GGA-PBE) gives the computed XRD peak list in this record (Cu Kα X-rays).
No peak broadening, texture or thermal motion is included.

a = 5.8055 Å, b = 5.8055 Å, c = 5.8055 Å
α = 109.75°, β = 109.75°, γ = 108.92°
Sites, in units of the cell vectors:
Tl1 0.0000 0.0000 0.0000
Pd1 0.0769 0.0769 0.5516
Pd2 0.0769 0.5253 0.0000
Pd3 0.5253 0.0769 0.0000
Pd4 0.5253 0.5253 0.4484
Pd5 0.5836 0.5836 0.0000
Pb1 0.0557 0.5557 0.5000
Pb2 0.5557 0.0557 0.5000

Largest 10 diffraction maxima, in order of falling intensity, 2θ = 5–70°:
d [Å], Position (°2θ), I (rel.)
2.374, 37.9, 100
2.362, 38.1, 52
1.366, 68.7, 30
1.670, 55.0, 17
1.373, 68.3, 13
3.340, 26.7, 10
2.732, 32.8, 8
1.687, 54.4, 7
2.114, 42.8, 7
1.430, 65.2, 6